Structure and theoretical powder diffraction line list of Na3MgGaP2SO12 (DFT lattice parameters and positions (GGA-PBE); λ = 1.5418 Å (Cu Kα)).
No peak broadening, texture or thermal motion is included.

Cell and atoms:
a b c (Å): 8.8091 8.8091 8.9635
angles (deg): 120.24 120.24 60.66
Atoms (fractional coordinates):
Na1 0.0686 0.9314 0.5000
Na2 0.3102 0.8313 0.2443
Na3 0.5655 0.7044 0.9944
Na4 0.7044 0.5655 0.4944
Na5 0.8313 0.3102 0.7443
Na6 0.9314 0.0686 0.0000
Mg1 0.4563 0.9661 0.6816
Mg2 0.9661 0.4563 0.1816
Ga1 0.1407 0.6687 0.7838
Ga2 0.6687 0.1407 0.2838
P1 0.0537 0.2659 0.4764
P2 0.2659 0.0537 0.9764
P3 0.7627 0.8584 0.4815
P4 0.8584 0.7627 0.9815
S1 0.3611 0.5549 0.4912
S2 0.5549 0.3611 0.9912
O1 0.0164 0.2882 0.3024
O2 0.0376 0.7477 0.9703
O3 0.0771 0.4456 0.6477
O4 0.0882 0.2131 0.9985
O5 0.1947 0.5277 0.3319
O6 0.2131 0.0882 0.4985
O7 0.2511 0.8755 0.9677
O8 0.2882 0.0164 0.8024
O9 0.3412 0.5892 0.6627
O10 0.3849 0.7181 0.5032
O11 0.3963 0.5325 0.9737
O12 0.4456 0.0771 0.1477
O13 0.5277 0.1947 0.8319
O14 0.5325 0.3963 0.4737
O15 0.5892 0.3412 0.1627
O16 0.5915 0.8789 0.5035
O17 0.6896 0.7925 0.8121
O18 0.7181 0.3849 0.0032
O19 0.7477 0.0376 0.4703
O20 0.7925 0.6896 0.3121
O21 0.8396 0.9401 0.1582
O22 0.8755 0.2511 0.4677
O23 0.8789 0.5915 0.0035
O24 0.9401 0.8396 0.6582

Most intense lines, 10 to 80 degrees two-theta, sorted by position:
d 6.314, 14.03 deg, rel. 92
d 4.482, 19.81 deg, rel. 45
d 3.800, 23.41 deg, rel. 53
d 3.795, 23.44 deg, rel. 76
d 3.736, 23.82 deg, rel. 55
d 2.832, 31.59 deg, rel. 77
d 2.817, 31.77 deg, rel. 100
d 2.779, 32.21 deg, rel. 71
d 2.560, 35.06 deg, rel. 79
d 1.899, 47.90 deg, rel. 58